# 1
# MgZnCo4O8
Theoretical X-ray powder pattern, Cu Kα (weighted mean of Kα1 and Kα2). Input: a cell relaxed with GGA+U.

The 12 most intense peaks (5° ≤ 2θ ≤ 70°), most intense first:
28.70 deg, intensity 100, (0 2 2)
32.39 deg, intensity 96, (0 2 -1)
14.24 deg, intensity 95, (0 1 1)
37.45 deg, intensity 74, (1 1 -1)
12.79 deg, intensity 70, (0 1 0)
52.93 deg, intensity 52, (1 2 -2)
35.06 deg, intensity 50, (1 1 2)
34.95 deg, intensity 49, (1 0 -1)
23.38 deg, intensity 47, (0 1 2)
24.62 deg, intensity 44, (0 0 2)
35.42 deg, intensity 43, (1 -1 0)
44.01 deg, intensity 42, (1 -1 2)

Cell and atoms:
Cell: 2.9543 7.5444 7.8674 Å, 67.84 79.38 78.88°
Space group P1 (No. 1)
Symmetry-distinct sites (fractional):
Mg 0.0000 0.0000 0.0000
Zn 0.2727 0.2052 0.2496
Co 0.0966 0.6170 0.1860
Co 0.2557 0.8792 0.6072
Co 0.5799 0.2549 0.5904
Co 0.8309 0.4696 0.8650
O 0.1013 0.4011 0.3984
O 0.1018 0.0669 0.7332
O 0.2321 0.5568 0.9778
O 0.4261 0.3862 0.7533
O 0.5284 0.8115 0.1319
O 0.7464 0.0613 0.4480
O 0.8105 0.7099 0.6667
O 0.8492 0.2272 0.0703

# 2
# MgZnCo4O8
Theoretical X-ray powder pattern, Cu Kα (weighted mean of Kα1 and Kα2). Input: a cell relaxed with GGA+U.

The 12 most intense peaks (5° ≤ 2θ ≤ 70°), most intense first:
34.50 deg, intensity 100, (1 0 -2)
32.57 deg, intensity 85, (0 2 -2)
29.41 deg, intensity 85, (0 2 1)
34.95 deg, intensity 78, (1 -2 0)
16.12 deg, intensity 74, (0 1 -1)
35.41 deg, intensity 67, (1 0 1)
11.92 deg, intensity 64, (0 0 1)
53.99 deg, intensity 57, (1 -2 3)
48.47 deg, intensity 47, (-1 2 3)
28.62 deg, intensity 47, (0 1 2)
12.52 deg, intensity 45, (0 1 0)
60.24 deg, intensity 42, (-2 1 1)

Cell and atoms:
Cell: 3.0722 7.2937 7.6434 Å, 94.93 101.52 102.12°
Space group P1 (No. 1)
Symmetry-distinct sites (fractional):
Mg 0.0000 0.0000 0.0000
Zn 0.4941 0.3426 0.6426
Co 0.1864 0.0385 0.3363
Co 0.2903 0.6063 0.9738
Co 0.6700 0.7535 0.5880
Co 0.8370 0.3920 0.2840
O 0.1002 0.3891 0.8087
O 0.2057 0.2411 0.1722
O 0.2093 0.8915 0.5286
O 0.4864 0.5251 0.4501
O 0.5398 0.9276 0.1529
O 0.8000 0.7634 0.8363
O 0.8299 0.2090 0.4543
O 0.8389 0.5604 0.1179

# 3
# MgZnCo4O8
Theoretical X-ray powder pattern, Cu Kα (weighted mean of Kα1 and Kα2). Input: a cell relaxed with GGA+U.

The 12 most intense peaks (5° ≤ 2θ ≤ 70°), most intense first:
13.63 deg, intensity 100, (0 1 1)
12.20 deg, intensity 65, (0 1 0)
12.06 deg, intensity 49, (0 0 1)
35.00 deg, intensity 38, (1 0 -1)
36.98 deg, intensity 35, (1 2 2)
43.57 deg, intensity 30, (1 -1 2)
31.16 deg, intensity 27, (0 1 -2)
61.59 deg, intensity 25, (-1 1 4)
63.32 deg, intensity 22, (2 1 1)
31.30 deg, intensity 22, (0 2 -1)
45.99 deg, intensity 20, (1 3 0)
34.09 deg, intensity 19, (0 1 3)

Cell and atoms:
Cell: 2.9374 7.9410 8.0302 Å, 66.99 79.51 79.44°
Space group P1 (No. 1)
Symmetry-distinct sites (fractional):
Mg 0.0000 0.0000 0.0000
Zn 0.2310 0.3370 0.1984
Co 0.2156 0.7000 0.8677
Co 0.3389 0.9555 0.3716
Co 0.6354 0.0842 0.6440
Co 0.8906 0.3648 0.8536
O 0.0353 0.2068 0.7215
O 0.2337 0.9105 0.6186
O 0.3742 0.5106 0.7402
O 0.3947 0.2048 0.0054
O 0.6063 0.8793 0.9069
O 0.7155 0.1870 0.3760
O 0.7414 0.4947 0.0225
O 0.9242 0.8806 0.2739

# 4
# MgZnCo4O8
Theoretical X-ray powder pattern, Cu Kα (weighted mean of Kα1 and Kα2). Input: a cell relaxed with GGA+U.

The 12 most intense peaks (5° ≤ 2θ ≤ 70°), most intense first:
14.85 deg, intensity 100, (0 1 -1)
35.05 deg, intensity 93, (1 0 1)
33.81 deg, intensity 80, (0 2 1)
24.33 deg, intensity 67, (0 0 2)
37.73 deg, intensity 60, (1 -2 0)
40.59 deg, intensity 55, (0 3 -2)
34.61 deg, intensity 54, (0 1 -3)
23.51 deg, intensity 47, (0 1 -2)
35.79 deg, intensity 35, (1 0 -2)
29.96 deg, intensity 35, (0 2 -2)
56.74 deg, intensity 35, (0 1 4)
37.30 deg, intensity 27, (1 1 -2)

Cell and atoms:
Cell: 2.9889 6.9524 7.8453 Å, 108.61 97.38 96.93°
Space group P1 (No. 1)
Symmetry-distinct sites (fractional):
Mg 0.0000 0.0000 0.0000
Zn 0.6955 0.3899 0.1868
Co 0.0182 0.1495 0.7283
Co 0.0599 0.5312 0.8362
Co 0.4067 0.7631 0.5598
Co 0.5969 0.8420 0.2427
O 0.1023 0.3206 0.9792
O 0.3080 0.6013 0.3107
O 0.4364 0.3418 0.6928
O 0.5337 0.9828 0.7823
O 0.5782 0.0896 0.1791
O 0.7049 0.7051 0.9897
O 0.9231 0.9204 0.4979
O 0.9330 0.6436 0.6342